Calculated PXRD pattern
Compound: K2TaPdSe4
Radiation: Cu Kα, 1.54184 Å
Structure: a structure optimized by DFT (PBE)
Peak positions follow from Bragg's law for the DFT cell and can differ from measured ones.

Peak list (10 most intense, 15° ≤ 2θ ≤ 90°, by angle)
2θ = 15.34°, I 100.0, (0 0 4); 2θ = 26.41°, I 61.9, (0 2 6); 2θ = 26.94°, I 95.3, (1 3 3); 2θ = 36.51°, I 36.0, (2 2 4); 2θ = 38.43°, I 67.4, (2 0 6); 2θ = 40.47°, I 47.7, (0 4 8); 2θ = 40.71°, I 76.3, (2 4 2); 2θ = 45.39°, I 32.4, (0 6 6); 2θ = 49.76°, I 34.6, (2 6 0); 2θ = 50.13°, I 39.9, (2 0 10)

Crystal structure
```
data_K2TaPdSe4
_cell_length_a 5.904
_cell_length_b 14.024
_cell_length_c 23.103
_cell_angle_alpha 90.00
_cell_angle_beta 90.00
_cell_angle_gamma 90.00
_symmetry_space_group_name_H-M 'F d d d'
_symmetry_Int_Tables_number 70
loop_
_symmetry_equiv_pos_as_xyz
'x,y,z'
'-x,-y,-z'
'-x+1/4,-y+1/4,z'
'x+1/4,y+1/4,-z'
'x,-y+1/4,-z+1/4'
'-x,y+1/4,z+1/4'
'-x+1/4,y,-z+1/4'
'x+1/4,-y,z+1/4'
'x,y+1/2,z+1/2'
'-x,-y+1/2,-z+1/2'
'-x+1/4,-y+3/4,z+1/2'
'x+1/4,y+3/4,-z+1/2'
'x,-y+3/4,-z+3/4'
'-x,y+3/4,z+3/4'
'-x+1/4,y+1/2,-z+3/4'
'x+1/4,-y+1/2,z+3/4'
'x+1/2,y,z+1/2'
'-x+1/2,-y,-z+1/2'
'-x+3/4,-y+1/4,z+1/2'
'x+3/4,y+1/4,-z+1/2'
'x+1/2,-y+1/4,-z+3/4'
'-x+1/2,y+1/4,z+3/4'
'-x+3/4,y,-z+3/4'
'x+3/4,-y,z+3/4'
'x+1/2,y+1/2,z'
'-x+1/2,-y+1/2,-z'
'-x+3/4,-y+3/4,z'
'x+3/4,y+3/4,-z'
'x+1/2,-y+3/4,-z+1/4'
'-x+1/2,y+3/4,z+1/4'
'-x+3/4,y+1/2,-z+1/4'
'x+3/4,-y+1/2,z+1/4'
loop_
_atom_site_label
_atom_site_fract_x
_atom_site_fract_y
_atom_site_fract_z
K1 0.125 0.125 0.304
Ta1 0.125 0.125 0.625
Pd1 0.125 0.125 0.125
Se1 0.111 0.269 0.816
```